(1)
Diffraction record for Ac4In2I3. The X-ray diffraction stick pattern is theoretical, not measured: it uses DFT lattice parameters and positions (GGA-PBE) and Cu Kα X-rays.
Neutral-atom scattering factors, no anomalous dispersion.

Structure:
Cell: 4.7452 4.7452 20.1686 Å, 90.00 90.00 120.00°
Space group P-3m1 (No. 164)
One atom of each set of equivalent atoms:
Ac 0.0000 0.0000 0.1993 x2
Ac 0.3333 0.6667 0.3913 x2
In 0.3333 0.6667 0.7027 x2
I 0.0000 0.0000 0.5000 x1
I 0.3333 0.6667 0.0976 x2

Main lines, low angle first (5 to 70 degrees two-theta):
2theta  I (rel.)
8.77  12
25.40  100
28.01  27
34.47  21
37.92  45
38.15  30
46.20  21
60.23  23
61.25  18
68.64  11

(2)
Diffraction record for Cs2PrSiS4. The X-ray diffraction stick pattern is theoretical, not measured: it uses DFT lattice parameters and positions (GGA-PBE) and Cu Kα X-rays.
Neutral-atom scattering factors, no anomalous dispersion.

Structure:
Cell: 6.7522 14.5320 26.2059 Å, 90.00 90.00 90.00°
Space group Fddd (No. 70, origin choice 2)
One atom of each set of equivalent atoms:
Cs 0.1250 0.1250 0.3056 x16
Pr 0.1250 0.1250 0.1250 x8
Si 0.1250 0.1250 0.6250 x8
S 0.0654 0.2874 0.8288 x32

Main lines, low angle first (5 to 70 degrees two-theta):
2theta  I (rel.)
13.52  43
14.86  48
22.33  49
22.85  51
23.77  100
28.36  88
29.17  59
33.55  47
40.66  42
41.98  44

(3)
Diffraction record for BiOs. The X-ray diffraction stick pattern is theoretical, not measured: it uses DFT lattice parameters and positions (GGA-PBE) and Cu Kα X-rays.
Neutral-atom scattering factors, no anomalous dispersion.

Structure:
Cell: 3.9050 8.6021 8.1322 Å, 90.00 90.00 90.00°
Space group Amm2 (No. 38)
One atom of each set of equivalent atoms:
Bi 0.0000 0.0000 0.0000 x2
Bi 0.5000 0.1898 0.3320 x4
Os 0.0000 0.1542 0.6161 x4
Os 0.5000 0.0000 0.7385 x2

Main lines, low angle first (5 to 70 degrees two-theta):
2theta  I (rel.)
14.99  26
31.77  100
33.13  49
34.70  24
38.20  30
40.58  76
46.51  27
49.60  18
58.29  20
62.85  22

(4)
Diffraction record for Ba6AsSe3I2. The X-ray diffraction stick pattern is theoretical, not measured: it uses DFT lattice parameters and positions (GGA-PBE) and Cu Kα X-rays.
Neutral-atom scattering factors, no anomalous dispersion.

Structure:
Cell: 8.3805 14.4659 8.3447 Å, 90.00 109.55 90.00°
Space group C2/m (No. 12)
One atom of each set of equivalent atoms:
Ba 0.2188 0.0000 0.2358 x4
Ba 0.2439 0.1546 0.7679 x8
As 0.0000 0.0000 0.5000 x2
Se 0.0000 0.1717 0.0000 x4
Se 0.0000 0.5000 0.0000 x2
I 0.0000 0.3337 0.5000 x4

Main lines, low angle first (5 to 70 degrees two-theta):
2theta  I (rel.)
26.12  100
37.24  50
37.32  25
45.96  7
46.11  19
53.73  12
60.74  21
67.06  6
67.18  7
67.31  9